1.
This entry pairs a crystal structure of Gd3Ni7B2 with its simulated powder diffraction line list. Radiation: λ = 1.5418 Å (Cu Kα). Structure: a crystal structure in the Materials Project, relaxed with GGA-PBE.

The 12 most intense peaks (15° ≤ 2θ ≤ 90°), by angle:
2θ (°), I_rel, hkl
32.11, 17, 1 1 4
35.07, 39, 2 0 0
37.34, 100, 1 1 5
40.75, 13, 2 2 0
41.14, 20, 0 4 1
41.26, 40, 2 2 1
43.45, 78, 2 0 4
64.33, 12, 1 5 5
64.41, 14, 2 4 5
68.78, 14, 3 3 4
73.19, 15, 2 2 9
74.02, 14, 2 6 0

Atomic structure:
```
data_Gd3Ni7B2
_chemical_formula_sum 'Gd12 Ni28 B8'
_space_group_name_H-M_alt 'C m c m'
_space_group_IT_number 63
_space_group_name_Hall '-C 2c 2'
_cell_length_a 5.1088
_cell_length_b 8.8806
_cell_length_c 14.3385
_cell_angle_alpha 90.00
_cell_angle_beta 90.00
_cell_angle_gamma 90.00
loop_
_atom_site_label
_atom_site_fract_x
_atom_site_fract_y
_atom_site_fract_z
Gd1 0.0000 0.1665 0.0311
Gd2 0.0000 0.1667 0.2500
Ni1 0.0000 0.3346 0.6500
Ni2 0.0000 0.5000 0.0000
Ni3 0.2482 0.4173 0.1499
B1 0.0000 0.1666 0.7500
B2 0.0000 0.5000 0.2500
```

2.
This entry pairs a crystal structure of Gd4NiB13 with its simulated powder diffraction line list. Radiation: λ = 1.5418 Å (Cu Kα). Structure: a crystal structure in the Materials Project, relaxed with GGA-PBE.

The 12 most intense peaks (15° ≤ 2θ ≤ 90°), by angle:
2θ (°), I_rel, hkl
24.19, 37, 2 0 0
25.52, 59, 0 0 2
27.10, 94, 2 1 0
35.45, 39, 2 0 2
37.57, 100, 2 1 2
38.70, 21, 3 1 0
43.38, 23, 2 2 2
46.93, 29, 3 1 2
51.19, 37, 4 1 0
58.05, 39, 4 1 2
60.01, 21, 2 1 4
76.33, 23, 4 1 4

Atomic structure:
```
data_Gd4NiB13
_chemical_formula_sum 'Gd8 Ni2 B26'
_space_group_name_H-M_alt 'P 4/m n c'
_space_group_IT_number 128
_space_group_name_Hall '-P 4 2n'
_cell_length_a 7.3575
_cell_length_b 7.3575
_cell_length_c 6.9802
_cell_angle_alpha 90.00
_cell_angle_beta 90.00
_cell_angle_gamma 90.00
loop_
_atom_site_label
_atom_site_fract_x
_atom_site_fract_y
_atom_site_fract_z
Gd1 0.1800 0.3146 0.0000
Ni1 0.0000 0.0000 0.5000
B1 0.0000 0.0000 0.0000
B2 0.0399 0.8301 0.2440
B3 0.0931 0.5931 0.2500
```

3.
This entry pairs a crystal structure of GdB3O6 with its simulated powder diffraction line list. Radiation: λ = 1.5418 Å (Cu Kα). Structure: a crystal structure in the Materials Project, relaxed with GGA-PBE.

The 12 most intense peaks (15° ≤ 2θ ≤ 90°), by angle:
2θ (°), I_rel, hkl
17.79, 100, 1 1 -1
21.81, 42, 0 2 0
22.61, 39, 2 0 0
28.30, 75, 2 0 -2
28.75, 19, 2 2 -1
29.52, 30, 3 1 -1
31.62, 53, 2 2 0
36.01, 37, 2 2 -2
42.49, 18, 1 3 1
43.81, 20, 4 2 -2
44.52, 28, 3 1 -3
48.19, 19, 0 4 1

Atomic structure:
```
data_GdB3O6
_chemical_formula_sum 'Gd4 B12 O24'
_space_group_name_H-M_alt 'C 1 2/c 1'
_space_group_IT_number 15
_space_group_name_Hall '-C 2yc'
_cell_length_a 9.8270
_cell_length_b 8.1492
_cell_length_c 6.3149
_cell_angle_alpha 90.00
_cell_angle_beta 126.83
_cell_angle_gamma 90.00
loop_
_atom_site_label
_atom_site_fract_x
_atom_site_fract_y
_atom_site_fract_z
Gd1 0.0000 0.2087 0.2500
B1 0.0000 0.2241 0.7500
B2 0.2285 0.4349 0.0909
O1 0.1008 0.3178 0.9954
O2 0.1033 0.1157 0.7063
O3 0.2064 0.4088 0.5111
```